Computed powder diffraction line list of La2Nd3Mg2 for Cu Kα X-rays, from a structure optimized by DFT (GGA-PBE).
Neutral-atom scattering factors, no anomalous dispersion.

Top 10 peaks for 10 to 80 degrees two-theta, low angle first:
- 2θ = 23.4°, rel. 25, (0 0 1)
- 2θ = 24.6°, rel. 26, (1 3 0)
- 2θ = 28.5°, rel. 22, (0 10 0)
- 2θ = 29.1°, rel. 42, (0 6 1)
- 2θ = 30.6°, rel. 100, (1 7 0)
- 2θ = 32.9°, rel. 43, (0 8 1)
- 2θ = 33.2°, rel. 78, (1 1 1)
- 2θ = 38.9°, rel. 22, (1 7 1)
- 2θ = 55.6°, rel. 18, (1 15 1)
- 2θ = 57.9°, rel. 32, (1 7 2)

Structure:
Cell lengths 3.867, 31.303, 3.799 Å; angles 90.00, 90.00, 90.00 degrees
Space group Cmmm (No. 65)
One atom of each set of equivalent atoms:
La1 0.000 0.207 0.000
Nd1 0.000 0.080 0.000
Nd2 0.000 0.500 0.500
Mg1 0.000 0.359 0.500

***

Computed powder diffraction line list of La5NdMg2 for Cu Kα X-rays, from a structure optimized by DFT (GGA-PBE).
Neutral-atom scattering factors, no anomalous dispersion.

Top 10 peaks for 10 to 80 degrees two-theta, low angle first:
- 2θ = 15.4°, rel. 14, (0 2 0)
- 2θ = 21.8°, rel. 5, (0 2 1)
- 2θ = 26.9°, rel. 7, (2 0 -2)
- 2θ = 31.1°, rel. 100, (0 4 0)
- 2θ = 34.8°, rel. 5, (0 4 1)
- 2θ = 44.4°, rel. 13, (0 4 2)
- 2θ = 55.2°, rel. 25, (2 2 -4)
- 2θ = 55.4°, rel. 10, (4 0 -4)
- 2θ = 64.9°, rel. 6, (4 4 -4)
- 2θ = 73.5°, rel. 11, (0 8 2)

Structure:
Cell lengths 8.107, 11.531, 7.046 Å; angles 90.00, 125.09, 90.00 degrees
Space group Cm (No. 8)
One atom of each set of equivalent atoms:
La1 0.000 0.000 0.000
La2 0.016 0.500 0.029
La3 0.260 0.257 0.518
La4 0.459 0.000 0.510
Nd1 0.041 0.000 0.514
Mg1 0.260 0.250 0.018

***

Computed powder diffraction line list of La5Nd2Mg for Cu Kα X-rays, from a structure optimized by DFT (GGA-PBE).
Neutral-atom scattering factors, no anomalous dispersion.

Top 10 peaks for 10 to 80 degrees two-theta, low angle first:
- 2θ = 27.8°, rel. 25, (2 0 2)
- 2θ = 30.4°, rel. 25, (0 4 0)
- 2θ = 31.8°, rel. 100, (0 2 4)
- 2θ = 41.7°, rel. 16, (2 4 2)
- 2θ = 49.1°, rel. 13, (2 0 6)
- 2θ = 49.2°, rel. 6, (4 0 0)
- 2θ = 54.9°, rel. 20, (0 6 4)
- 2θ = 58.8°, rel. 14, (2 4 6)
- 2θ = 59.0°, rel. 7, (4 4 0)
- 2θ = 59.8°, rel. 11, (4 2 4)

Structure:
Cell lengths 7.401, 11.752, 12.874 Å; angles 90.00, 90.00, 90.00 degrees
Space group Fmm2 (No. 42)
One atom of each set of equivalent atoms:
La1 0.000 0.000 0.000
La2 0.233 0.000 0.237
La3 0.250 0.250 0.403
Nd1 0.000 0.239 0.651
Mg1 0.000 0.000 0.489

***

Computed powder diffraction line list of La3Nd7Mg for Cu Kα X-rays, from a structure optimized by DFT (GGA-PBE).
Neutral-atom scattering factors, no anomalous dispersion.

Top 10 peaks for 10 to 80 degrees two-theta, low angle first:
- 2θ = 20.1°, rel. 17, (2 0 -1)
- 2θ = 30.1°, rel. 100, (1 3 1)
- 2θ = 30.4°, rel. 44, (4 0 0)
- 2θ = 31.1°, rel. 42, (2 0 -2)
- 2θ = 31.5°, rel. 45, (2 0 2)
- 2θ = 34.4°, rel. 15, (3 3 0)
- 2θ = 37.0°, rel. 49, (3 3 -1)
- 2θ = 48.9°, rel. 20, (5 3 1)
- 2θ = 49.8°, rel. 19, (1 3 -3)
- 2θ = 55.2°, rel. 16, (3 3 3)

Structure:
Cell lengths 11.782, 10.471, 6.539 Å; angles 90.00, 91.01, 90.00 degrees
Space group C2/m (No. 12)
One atom of each set of equivalent atoms:
La1 0.000 0.000 0.000
La2 0.000 0.173 0.500
Nd1 0.000 0.500 0.500
Nd2 0.223 0.333 0.772
Nd3 0.239 0.000 0.707
Mg1 0.000 0.500 0.000

***

Computed powder diffraction line list of LaNd2Mg9 for Cu Kα X-rays, from a structure optimized by DFT (GGA-PBE).
Neutral-atom scattering factors, no anomalous dispersion.

Top 10 peaks for 10 to 80 degrees two-theta, low angle first:
- 2θ = 17.1°, rel. 55, (1 0 1)
- 2θ = 17.7°, rel. 24, (0 0 6)
- 2θ = 26.8°, rel. 70, (1 0 7)
- 2θ = 29.3°, rel. 100, (1 1 0)
- 2θ = 34.1°, rel. 34, (0 2 1)
- 2θ = 34.5°, rel. 94, (1 1 6)
- 2θ = 50.4°, rel. 25, (2 1 7)
- 2θ = 51.9°, rel. 27, (3 0 0)
- 2θ = 55.3°, rel. 22, (3 0 6)
- 2θ = 60.8°, rel. 17, (2 2 0)

Structure:
Cell lengths 6.0963, 6.0963, 29.9942 Å; angles 90.00, 90.00, 120.00 degrees
Space group R-3m (No. 166, hexagonal axes)
One atom of each set of equivalent atoms:
La1 0.0000 0.0000 0.0000
Nd1 0.0000 0.0000 0.1445
Mg1 0.0000 0.0000 0.3340
Mg2 0.0000 0.0000 0.5000
Mg3 0.0031 0.5015 0.9165

***

Computed powder diffraction line list of La2Nd12Mg for Cu Kα X-rays, from a structure optimized by DFT (GGA-PBE).
Neutral-atom scattering factors, no anomalous dispersion.

Top 10 peaks for 10 to 80 degrees two-theta, low angle first:
- 2θ = 21.8°, rel. 28, (0 0 6)
- 2θ = 27.5°, rel. 100, (2 0 2)
- 2θ = 28.8°, rel. 41, (1 1 6)
- 2θ = 30.3°, rel. 39, (2 0 4)
- 2θ = 33.0°, rel. 30, (0 0 9)
- 2θ = 33.1°, rel. 25, (2 1 4)
- 2θ = 34.5°, rel. 34, (2 0 6)
- 2θ = 37.8°, rel. 51, (2 2 0)
- 2θ = 51.0°, rel. 25, (2 2 9)
- 2θ = 52.3°, rel. 31, (3 1 8)

Structure:
Cell lengths 6.737, 6.737, 24.456 Å; angles 90.00, 90.00, 90.00 degrees
Space group P4/nbm (No. 125, origin choice 2)
One atom of each set of equivalent atoms:
La1 0.250 0.750 0.246
Nd1 0.008 0.508 0.098
Nd2 0.084 0.584 0.564
Nd3 0.250 0.250 0.203
Nd4 0.250 0.250 0.331
Mg1 0.250 0.750 0.000

***

Computed powder diffraction line list of La2Nd7Mg2 for Cu Kα X-rays, from a structure optimized by DFT (GGA-PBE).
Neutral-atom scattering factors, no anomalous dispersion.

Top 10 peaks for 10 to 80 degrees two-theta, low angle first:
- 2θ = 24.4°, rel. 19, (1 1 0)
- 2θ = 28.0°, rel. 30, (0 3 3)
- 2θ = 30.7°, rel. 28, (0 0 6)
- 2θ = 31.3°, rel. 18, (0 4 0)
- 2θ = 32.0°, rel. 100, (1 2 3)
- 2θ = 39.7°, rel. 11, (1 1 6)
- 2θ = 44.5°, rel. 12, (0 4 6)
- 2θ = 46.2°, rel. 11, (1 5 0)
- 2θ = 55.5°, rel. 16, (1 2 9)
- 2θ = 56.5°, rel. 10, (1 5 6)

Structure:
Cell lengths 3.845, 11.424, 17.448 Å; angles 90.00, 90.00, 90.00 degrees
Space group Immm (No. 71)
One atom of each set of equivalent atoms:
La1 0.000 0.190 0.000
Nd1 0.000 0.000 0.186
Nd2 0.000 0.000 0.500
Nd3 0.000 0.231 0.335
Mg1 0.000 0.500 0.158

***

Computed powder diffraction line list of La7Nd3Mg for Cu Kα X-rays, from a structure optimized by DFT (GGA-PBE).
Neutral-atom scattering factors, no anomalous dispersion.

Top 10 peaks for 10 to 80 degrees two-theta, low angle first:
- 2θ = 20.2°, rel. 16, (2 0 -1)
- 2θ = 26.5°, rel. 16, (2 2 -1)
- 2θ = 29.8°, rel. 100, (1 3 1)
- 2θ = 30.5°, rel. 41, (4 0 0)
- 2θ = 31.1°, rel. 84, (2 0 2)
- 2θ = 37.0°, rel. 48, (3 3 -1)
- 2θ = 48.7°, rel. 19, (5 3 1)
- 2θ = 49.5°, rel. 19, (1 3 -3)
- 2θ = 54.6°, rel. 32, (3 3 3)
- 2θ = 61.9°, rel. 23, (2 6 2)

Structure:
Cell lengths 11.722, 10.535, 6.604 Å; angles 90.00, 90.09, 90.00 degrees
Space group C2/m (No. 12)
One atom of each set of equivalent atoms:
La1 0.000 0.000 0.000
La2 0.222 0.172 0.272
La3 0.240 0.500 0.206
Nd1 0.000 0.334 0.000
Nd2 0.000 0.500 0.500
Mg1 0.000 0.000 0.500

***

Computed powder diffraction line list of La3Nd4Mg for Cu Kα X-rays, from a structure optimized by DFT (GGA-PBE).
Neutral-atom scattering factors, no anomalous dispersion.

Top 10 peaks for 10 to 80 degrees two-theta, low angle first:
- 2θ = 29.4°, rel. 36, (1 1 2)
- 2θ = 29.9°, rel. 100, (0 4 0)
- 2θ = 31.0°, rel. 82, (0 2 4)
- 2θ = 32.3°, rel. 19, (1 0 3)
- 2θ = 35.7°, rel. 22, (1 2 3)
- 2θ = 36.4°, rel. 21, (1 3 2)
- 2θ = 44.5°, rel. 15, (1 4 3)
- 2θ = 53.7°, rel. 17, (0 6 4)
- 2θ = 60.3°, rel. 13, (2 4 0)
- 2θ = 60.9°, rel. 24, (2 2 4)

Structure:
Cell lengths 3.576, 11.974, 13.180 Å; angles 90.00, 90.00, 90.00 degrees
Space group Immm (No. 71)
One atom of each set of equivalent atoms:
La1 0.000 0.000 0.000
La2 0.000 0.500 0.235
Nd1 0.000 0.249 0.368
Mg1 0.000 0.000 0.500

***

Computed powder diffraction line list of La6NdMg5 for Cu Kα X-rays, from a structure optimized by DFT (GGA-PBE).
Neutral-atom scattering factors, no anomalous dispersion.

Top 10 peaks for 10 to 80 degrees two-theta, low angle first:
- 2θ = 22.2°, rel. 36, (1 0 1)
- 2θ = 31.5°, rel. 20, (0 0 3)
- 2θ = 31.6°, rel. 100, (2 0 -1)
- 2θ = 45.3°, rel. 15, (2 0 2)
- 2θ = 45.4°, rel. 7, (0 4 0)
- 2θ = 51.0°, rel. 6, (3 0 0)
- 2θ = 56.1°, rel. 15, (1 2 4)
- 2θ = 56.4°, rel. 23, (3 2 0)
- 2θ = 56.4°, rel. 7, (2 4 -1)
- 2θ = 66.1°, rel. 9, (2 4 2)

Structure:
Cell lengths 5.651, 7.987, 8.982 Å; angles 90.00, 108.30, 90.00 degrees
Space group P2/m (No. 10)
One atom of each set of equivalent atoms:
La1 0.000 0.235 0.000
La2 0.331 0.245 0.658
Nd1 0.500 0.500 0.000
Mg1 0.160 0.500 0.323
Mg2 0.165 0.000 0.334
Mg3 0.500 0.000 0.000

***

Computed powder diffraction line list of La5NdMg for Cu Kα X-rays, from a structure optimized by DFT (GGA-PBE).
Neutral-atom scattering factors, no anomalous dispersion.

Top 10 peaks for 10 to 80 degrees two-theta, low angle first:
- 2θ = 13.8°, rel. 11, (1 1 0)
- 2θ = 18.1°, rel. 12, (1 1 -2)
- 2θ = 31.1°, rel. 45, (2 2 1)
- 2θ = 31.2°, rel. 100, (1 3 -2)
- 2θ = 31.5°, rel. 29, (3 1 -1)
- 2θ = 31.6°, rel. 15, (3 1 -2)
- 2θ = 31.8°, rel. 26, (2 0 -4)
- 2θ = 44.8°, rel. 11, (0 2 5)
- 2θ = 45.3°, rel. 11, (4 2 -3)
- 2θ = 55.2°, rel. 10, (1 5 3)

Structure:
Cell lengths 8.952, 10.001, 11.823 Å; angles 90.00, 110.83, 90.00 degrees
Space group C2/c (No. 15)
One atom of each set of equivalent atoms:
La1 0.000 0.155 0.250
La2 0.117 0.345 0.524
La3 0.208 0.172 0.835
Nd1 0.000 0.483 0.750
Mg1 0.000 0.000 0.000

***

Computed powder diffraction line list of La2Pm2Nd4Mg for Cu Kα X-rays, from a structure optimized by DFT (GGA-PBE).
Neutral-atom scattering factors, no anomalous dispersion.

Top 10 peaks for 10 to 80 degrees two-theta, low angle first:
- 2θ = 25.6°, rel. 18, (1 1 2)
- 2θ = 27.9°, rel. 37, (2 0 0)
- 2θ = 31.1°, rel. 53, (2 1 0)
- 2θ = 31.4°, rel. 100, (0 1 -2)
- 2θ = 31.5°, rel. 12, (2 -1 0)
- 2θ = 31.8°, rel. 51, (-1 1 2)
- 2θ = 32.7°, rel. 69, (2 0 2)
- 2θ = 45.0°, rel. 12, (3 -1 0)
- 2θ = 47.4°, rel. 13, (1 1 4)
- 2θ = 56.4°, rel. 16, (1 0 -4)

Structure:
Cell lengths 6.605, 6.642, 7.675 Å; angles 74.85, 75.46, 85.44 degrees
Space group P-1 (No. 2)
One atom of each set of equivalent atoms:
La1 0.187 0.126 0.283
Pm1 0.371 0.704 0.607
Nd1 0.211 0.168 0.807
Nd2 0.323 0.669 0.095
Mg1 0.000 0.500 0.500